# 1
Structure and calculated powder diffractogram of Ho (a cell relaxed with GGA-PBE; a wavelength of 1.5418 Å).
No peak broadening, texture or thermal motion is included.

Crystal structure
```
data_Ho
_cell_length_a 3.983
_cell_length_b 3.983
_cell_length_c 3.983
_cell_angle_alpha 90.00
_cell_angle_beta 90.00
_cell_angle_gamma 90.00
_symmetry_space_group_name_H-M 'I m -3 m'
_symmetry_Int_Tables_number 229
_symmetry_space_group_name_Hall '-I 4 2 3'
loop_
_atom_site_label
_atom_site_fract_x
_atom_site_fract_y
_atom_site_fract_z
_atom_site_occupancy
Ho1 0.000 0.000 0.000 1
```

Largest 4 diffraction maxima, in order of falling intensity, 2θ = 5–70°:
- hkl 1 1 0, 2θ = 31.77°, d = 2.816 Å, rel. 100
- hkl 2 1 1, 2θ = 56.60°, d = 1.626 Å, rel. 39
- hkl 2 0 0, 2θ = 45.55°, d = 1.991 Å, rel. 19
- hkl 2 2 0, 2θ = 66.38°, d = 1.408 Å, rel. 12

=====

# 2
Structure and calculated powder diffractogram of Ho (a cell relaxed with GGA-PBE; a wavelength of 1.5418 Å).
No peak broadening, texture or thermal motion is included.

Crystal structure
```
data_Ho
_cell_length_a 3.5402
_cell_length_b 3.5402
_cell_length_c 11.4270
_cell_angle_alpha 90.00
_cell_angle_beta 90.00
_cell_angle_gamma 120.00
_symmetry_space_group_name_H-M 'P 63/m m c'
_symmetry_Int_Tables_number 194
_symmetry_space_group_name_Hall '-P 6c 2c'
loop_
_atom_site_label
_atom_site_fract_x
_atom_site_fract_y
_atom_site_fract_z
_atom_site_occupancy
Ho1 0.0000 0.0000 0.0000 1
Ho2 0.3333 0.6667 0.2500 1
```

Largest 12 diffraction maxima, in order of falling intensity, 2θ = 5–70°:
- hkl 1 0 2, 2θ = 33.16°, d = 2.702 Å, rel. 100
- hkl 1 0 1, 2θ = 30.18°, d = 2.961 Å, rel. 43
- hkl 0 0 4, 2θ = 31.31°, d = 2.857 Å, rel. 34
- hkl 1 1 4, 2θ = 61.64°, d = 1.505 Å, rel. 30
- hkl 1 1 0, 2θ = 51.64°, d = 1.770 Å, rel. 26
- hkl 1 0 3, 2θ = 37.66°, d = 2.388 Å, rel. 24
- hkl 1 0 6, 2θ = 56.92°, d = 1.618 Å, rel. 22
- hkl 2 0 2, 2θ = 62.76°, d = 1.481 Å, rel. 16
- hkl 1 0 5, 2θ = 49.76°, d = 1.832 Å, rel. 11
- hkl 1 0 0, 2θ = 29.13°, d = 3.066 Å, rel. 8
- hkl 2 0 1, 2θ = 60.98°, d = 1.519 Å, rel. 6
- hkl 1 0 4, 2θ = 43.29°, d = 2.090 Å, rel. 5

=====

# 3
Structure and calculated powder diffractogram of Ho (a cell relaxed with GGA-PBE; a wavelength of 1.5418 Å).
No peak broadening, texture or thermal motion is included.

Crystal structure
```
data_Ho
_cell_length_a 3.5450
_cell_length_b 3.5450
_cell_length_c 25.6700
_cell_angle_alpha 90.00
_cell_angle_beta 90.00
_cell_angle_gamma 120.00
_symmetry_space_group_name_H-M 'R -3 m'
_symmetry_Int_Tables_number 166
_symmetry_space_group_name_Hall '-R 3 2"'
loop_
_atom_site_label
_atom_site_fract_x
_atom_site_fract_y
_atom_site_fract_z
_atom_site_occupancy
Ho1 0.0000 0.0000 0.0000 1
Ho2 0.0000 0.0000 0.2221 1
```

Largest 12 diffraction maxima, in order of falling intensity, 2θ = 5–70°:
- hkl 1 0 4, 2θ = 32.32°, d = 2.769 Å, rel. 100
- hkl 0 1 5, 2θ = 34.02°, d = 2.635 Å, rel. 88
- hkl 0 0 9, 2θ = 31.36°, d = 2.852 Å, rel. 51
- hkl 1 1 9, 2θ = 61.60°, d = 1.505 Å, rel. 45
- hkl 1 1 0, 2θ = 51.56°, d = 1.773 Å, rel. 38
- hkl 1 0 1, 2θ = 29.30°, d = 3.048 Å, rel. 37
- hkl 1 0 13, 2θ = 55.32°, d = 1.661 Å, rel. 22
- hkl 0 1 14, 2θ = 58.64°, d = 1.574 Å, rel. 19
- hkl 0 2 4, 2θ = 62.18°, d = 1.493 Å, rel. 15
- hkl 0 1 8, 2θ = 40.67°, d = 2.218 Å, rel. 15
- hkl 2 0 5, 2θ = 63.23°, d = 1.471 Å, rel. 15
- hkl 0 1 2, 2θ = 29.93°, d = 2.986 Å, rel. 15

=====

# 4
Structure and calculated powder diffractogram of Ho (a cell relaxed with GGA-PBE; a wavelength of 1.5418 Å).
No peak broadening, texture or thermal motion is included.

Crystal structure
```
data_Ho
_cell_length_a 3.6088
_cell_length_b 3.6088
_cell_length_c 5.5775
_cell_angle_alpha 90.00
_cell_angle_beta 90.00
_cell_angle_gamma 120.00
_symmetry_space_group_name_H-M 'P 63/m m c'
_symmetry_Int_Tables_number 194
_symmetry_space_group_name_Hall '-P 6c 2c'
loop_
_atom_site_label
_atom_site_fract_x
_atom_site_fract_y
_atom_site_fract_z
_atom_site_occupancy
Ho1 0.3333 0.6667 0.2500 1
```

Largest 11 diffraction maxima, in order of falling intensity, 2θ = 5–70°:
- hkl 1 0 1, 2θ = 32.85°, d = 2.726 Å, rel. 100
- hkl 1 0 0, 2θ = 28.56°, d = 3.125 Å, rel. 24
- hkl 0 0 2, 2θ = 32.10°, d = 2.789 Å, rel. 24
- hkl 1 1 2, 2θ = 61.18°, d = 1.515 Å, rel. 23
- hkl 1 0 3, 2θ = 57.70°, d = 1.598 Å, rel. 20
- hkl 1 1 0, 2θ = 50.59°, d = 1.804 Å, rel. 20
- hkl 2 0 1, 2θ = 61.64°, d = 1.505 Å, rel. 17
- hkl 1 0 2, 2θ = 43.49°, d = 2.081 Å, rel. 15
- hkl 2 0 2, 2θ = 68.88°, d = 1.363 Å, rel. 4
- hkl 2 0 0, 2θ = 59.12°, d = 1.563 Å, rel. 3
- hkl 0 0 4, 2θ = 67.13°, d = 1.394 Å, rel. 3

=====

# 5
Structure and calculated powder diffractogram of HoI3 (a cell relaxed with GGA-PBE; a wavelength of 1.5418 Å).
No peak broadening, texture or thermal motion is included.

Crystal structure
```
data_HoI3
_cell_length_a 11.7571
_cell_length_b 11.7571
_cell_length_c 3.9781
_cell_angle_alpha 90.00
_cell_angle_beta 90.00
_cell_angle_gamma 120.00
_symmetry_space_group_name_H-M 'P 63/m m c'
_symmetry_Int_Tables_number 194
_symmetry_space_group_name_Hall '-P 6c 2c'
loop_
_atom_site_label
_atom_site_fract_x
_atom_site_fract_y
_atom_site_fract_z
_atom_site_occupancy
Ho1 0.3333 0.6667 0.2500 1
I1 0.2199 0.4398 0.7500 1
```

Largest 12 diffraction maxima, in order of falling intensity, 2θ = 5–70°:
- hkl 1 0 0, 2θ = 8.68°, d = 10.182 Å, rel. 100
- hkl 2 0 1, 2θ = 28.47°, d = 3.135 Å, rel. 60
- hkl 2 0 0, 2θ = 17.42°, d = 5.091 Å, rel. 49
- hkl 3 1 1, 2θ = 39.12°, d = 2.303 Å, rel. 43
- hkl 3 0 1, 2θ = 34.74°, d = 2.582 Å, rel. 37
- hkl 1 1 0, 2θ = 15.07°, d = 5.879 Å, rel. 31
- hkl 2 1 1, 2θ = 32.37°, d = 2.766 Å, rel. 26
- hkl 3 3 0, 2θ = 46.34°, d = 1.960 Å, rel. 22
- hkl 3 1 0, 2θ = 31.68°, d = 2.824 Å, rel. 21
- hkl 2 1 0, 2θ = 23.11°, d = 3.848 Å, rel. 19
- hkl 5 1 1, 2θ = 55.29°, d = 1.662 Å, rel. 19
- hkl 3 3 2, 2θ = 67.05°, d = 1.396 Å, rel. 15

=====

# 6
Structure and calculated powder diffractogram of HoI3O9 (a cell relaxed with GGA-PBE; a wavelength of 1.5418 Å).
No peak broadening, texture or thermal motion is included.

Crystal structure
```
data_HoI3O9
_cell_length_a 8.773
_cell_length_b 6.023
_cell_length_c 16.565
_cell_angle_alpha 90.00
_cell_angle_beta 114.80
_cell_angle_gamma 90.00
_symmetry_space_group_name_H-M 'P 1 21/c 1'
_symmetry_Int_Tables_number 14
_symmetry_space_group_name_Hall '-P 2ybc'
loop_
_atom_site_label
_atom_site_fract_x
_atom_site_fract_y
_atom_site_fract_z
_atom_site_occupancy
Ho1 0.145 0.220 0.103 1
I1 0.075 0.189 0.355 1
I2 0.355 0.648 0.521 1
I3 0.419 0.596 0.801 1
O1 0.061 0.056 0.693 1
O2 0.094 0.600 0.671 1
O3 0.113 0.118 0.469 1
O4 0.126 0.623 0.488 1
O5 0.343 0.182 0.256 1
O6 0.343 0.586 0.889 1
O7 0.352 0.072 0.941 1
O8 0.361 0.006 0.635 1
O9 0.392 0.031 0.119 1
```

Largest 12 diffraction maxima, in order of falling intensity, 2θ = 5–70°:
- hkl 1 1 -4, 2θ = 26.14°, d = 3.409 Å, rel. 100
- hkl 2 1 0, 2θ = 26.84°, d = 3.322 Å, rel. 83
- hkl 0 1 3, 2θ = 23.09°, d = 3.853 Å, rel. 36
- hkl 1 0 4, 2θ = 30.25°, d = 2.955 Å, rel. 34
- hkl 3 0 -4, 2θ = 32.09°, d = 2.789 Å, rel. 25
- hkl 1 2 -1, 2θ = 31.43°, d = 2.846 Å, rel. 22
- hkl 1 2 -3, 2θ = 34.14°, d = 2.626 Å, rel. 22
- hkl 2 0 -8, 2θ = 43.79°, d = 2.067 Å, rel. 18
- hkl 1 1 1, 2θ = 20.79°, d = 4.273 Å, rel. 18
- hkl 4 0 0, 2θ = 45.56°, d = 1.991 Å, rel. 17
- hkl 3 1 4, 2θ = 52.08°, d = 1.756 Å, rel. 16
- hkl 2 1 -2, 2θ = 25.24°, d = 3.529 Å, rel. 16

=====

# 7
Structure and calculated powder diffractogram of HoI3O9 (a cell relaxed with GGA-PBE; a wavelength of 1.5418 Å).
No peak broadening, texture or thermal motion is included.

Crystal structure
```
data_HoI3O9
_cell_length_a 6.478
_cell_length_b 8.588
_cell_length_c 6.529
_cell_angle_alpha 90.00
_cell_angle_beta 90.00
_cell_angle_gamma 90.00
_symmetry_space_group_name_H-M 'P m m n'
_symmetry_Int_Tables_number 59
loop_
_symmetry_equiv_pos_as_xyz
'x,y,z'
'-x,-y,-z'
'-x+1/2,-y+1/2,z'
'x+1/2,y+1/2,-z'
'x+1/2,-y,-z'
'-x+1/2,y,z'
'-x,y+1/2,-z'
'x,-y+1/2,z'
loop_
_atom_site_label
_atom_site_fract_x
_atom_site_fract_y
_atom_site_fract_z
_atom_site_occupancy
Ho1 0.250 0.250 0.132 1
I1 0.250 0.553 0.639 1
I2 0.250 0.750 0.091 1
O1 0.059 0.612 0.954 1
O2 0.061 0.750 0.584 1
O3 0.250 0.011 0.361 1
O4 0.250 0.250 0.796 1
```

Largest 12 diffraction maxima, in order of falling intensity, 2θ = 5–70°:
- hkl 1 0 2, 2θ = 30.67°, d = 2.915 Å, rel. 100
- hkl 1 2 1, 2θ = 28.44°, d = 3.138 Å, rel. 90
- hkl 0 2 1, 2θ = 24.82°, d = 3.588 Å, rel. 81
- hkl 2 2 1, 2θ = 37.41°, d = 2.404 Å, rel. 80
- hkl 2 0 0, 2θ = 27.54°, d = 3.239 Å, rel. 77
- hkl 0 1 1, 2θ = 17.07°, d = 5.193 Å, rel. 37
- hkl 1 3 0, 2θ = 34.24°, d = 2.619 Å, rel. 29
- hkl 1 4 2, 2θ = 53.00°, d = 1.728 Å, rel. 28
- hkl 3 0 2, 2θ = 50.69°, d = 1.801 Å, rel. 26
- hkl 2 2 3, 2θ = 55.15°, d = 1.665 Å, rel. 26
- hkl 3 2 1, 2θ = 49.25°, d = 1.850 Å, rel. 23
- hkl 1 2 3, 2θ = 48.99°, d = 1.859 Å, rel. 22

=====

# 8
Structure and calculated powder diffractogram of HoIO (a cell relaxed with GGA-PBE; a wavelength of 1.5418 Å).
No peak broadening, texture or thermal motion is included.

Crystal structure
```
data_HoIO
_cell_length_a 3.9148
_cell_length_b 3.9148
_cell_length_c 32.9376
_cell_angle_alpha 90.00
_cell_angle_beta 90.00
_cell_angle_gamma 120.00
_symmetry_space_group_name_H-M 'R -3 m'
_symmetry_Int_Tables_number 166
_symmetry_space_group_name_Hall '-R 3 2"'
loop_
_atom_site_label
_atom_site_fract_x
_atom_site_fract_y
_atom_site_fract_z
_atom_site_occupancy
Ho1 0.0000 0.0000 0.1243 1
I1 0.0000 0.0000 0.3916 1
O1 0.0000 0.0000 0.1926 1
```

Largest 12 diffraction maxima, in order of falling intensity, 2θ = 5–70°:
- hkl 1 0 4, 2θ = 28.47°, d = 3.135 Å, rel. 100
- hkl 0 1 8, 2θ = 34.26°, d = 2.617 Å, rel. 43
- hkl 0 0 3, 2θ = 8.05°, d = 10.979 Å, rel. 39
- hkl 1 1 0, 2θ = 46.39°, d = 1.957 Å, rel. 32
- hkl 0 0 12, 2θ = 32.60°, d = 2.747 Å, rel. 22
- hkl 1 1 12, 2θ = 57.86°, d = 1.594 Å, rel. 17
- hkl 0 2 4, 2θ = 55.33°, d = 1.660 Å, rel. 16
- hkl 1 1 15, 2θ = 63.69°, d = 1.461 Å, rel. 11
- hkl 0 1 11, 2θ = 40.18°, d = 2.244 Å, rel. 11
- hkl 1 0 10, 2θ = 38.09°, d = 2.362 Å, rel. 10
- hkl 2 0 8, 2θ = 58.92°, d = 1.568 Å, rel. 10
- hkl 1 0 19, 2θ = 59.93°, d = 1.543 Å, rel. 8